Entry 1:
NdGePd2: simulated X-ray powder pattern (Cu Ka), based on a PBE-relaxed structure.
Neutral-atom scattering factors, no anomalous dispersion.

Lattice parameters (Å, degrees): 7.594 7.140 5.802 90.00 90.00 90.00
Atoms (fractional coordinates):
Nd (0.024, 0.250, 0.145)
Nd (0.476, 0.750, 0.645)
Nd (0.524, 0.250, 0.355)
Nd (0.976, 0.750, 0.855)
Ge (0.122, 0.750, 0.357)
Ge (0.378, 0.250, 0.857)
Ge (0.622, 0.750, 0.143)
Ge (0.878, 0.250, 0.643)
Pd (0.181, 0.053, 0.589)
Pd (0.181, 0.447, 0.589)
Pd (0.319, 0.553, 0.089)
Pd (0.319, 0.947, 0.089)
Pd (0.681, 0.053, 0.911)
Pd (0.681, 0.447, 0.911)
Pd (0.819, 0.553, 0.411)
Pd (0.819, 0.947, 0.411)

Main lines, by intensity (15 to 90 degrees two-theta):
35.43 deg, intensity 100
34.48 deg, intensity 72
38.81 deg, intensity 68
30.80 deg, intensity 54
37.91 deg, intensity 46
42.75 deg, intensity 43
41.85 deg, intensity 38
31.70 deg, intensity 37
33.05 deg, intensity 27
40.95 deg, intensity 27
62.39 deg, intensity 22
52.29 deg, intensity 17

Entry 2:
Gd2AlGe2: simulated X-ray powder pattern (Cu Ka), based on a PBE-relaxed structure.
Neutral-atom scattering factors, no anomalous dispersion.

Lattice parameters (Å, degrees): 5.898 5.898 7.786 103.28 103.28 57.78
Atoms (fractional coordinates):
Gd (0.015, 0.275, 0.147)
Gd (0.275, 0.015, 0.647)
Gd (0.725, 0.985, 0.353)
Gd (0.985, 0.725, 0.853)
Al (0.337, 0.663, 0.250)
Al (0.663, 0.337, 0.750)
Ge (0.234, 0.491, 0.502)
Ge (0.491, 0.234, 0.002)
Ge (0.509, 0.766, 0.998)
Ge (0.766, 0.509, 0.498)

Main lines, by intensity (15 to 90 degrees two-theta):
36.75 deg, intensity 100
38.10 deg, intensity 71
31.73 deg, intensity 70
33.64 deg, intensity 68
25.68 deg, intensity 62
36.05 deg, intensity 59
39.83 deg, intensity 51
34.77 deg, intensity 49
33.43 deg, intensity 47
30.73 deg, intensity 41
63.15 deg, intensity 33
22.77 deg, intensity 31

Entry 3:
Dy2Ge5Ir3: simulated X-ray powder pattern (Cu Ka), based on a PBE-relaxed structure.
Neutral-atom scattering factors, no anomalous dispersion.

Lattice parameters (Å, degrees): 8.395 8.395 8.395 104.51 90.43 137.89
Atoms (fractional coordinates):
Dy (0.134, 0.226, 0.361)
Dy (0.366, 0.726, 0.092)
Dy (0.634, 0.274, 0.908)
Dy (0.866, 0.774, 0.639)
Ge (0.027, 0.750, 0.277)
Ge (0.098, 0.662, 0.760)
Ge (0.250, 0.250, 0.000)
Ge (0.402, 0.162, 0.564)
Ge (0.473, 0.750, 0.723)
Ge (0.527, 0.250, 0.277)
Ge (0.598, 0.838, 0.436)
Ge (0.750, 0.750, 0.000)
Ge (0.902, 0.338, 0.240)
Ge (0.973, 0.250, 0.723)
Ir (0.142, 0.889, 0.031)
Ir (0.250, 0.750, 0.500)
Ir (0.358, 0.389, 0.747)
Ir (0.642, 0.611, 0.253)
Ir (0.750, 0.250, 0.500)
Ir (0.858, 0.111, 0.969)

Main lines, by intensity (15 to 90 degrees two-theta):
33.69 deg, intensity 100
42.83 deg, intensity 90
34.48 deg, intensity 64
35.01 deg, intensity 54
24.18 deg, intensity 30
31.83 deg, intensity 25
55.20 deg, intensity 25
49.30 deg, intensity 24
44.74 deg, intensity 23
55.93 deg, intensity 20
46.43 deg, intensity 20
61.49 deg, intensity 18

Entry 4:
Ho2Ge2Rh: simulated X-ray powder pattern (Cu Ka), based on a PBE-relaxed structure.
Neutral-atom scattering factors, no anomalous dispersion.

Lattice parameters (Å, degrees): 5.672 5.672 10.266 114.90 114.90 44.48
Atoms (fractional coordinates):
Ho (0.008, 0.008, 0.330)
Ho (0.187, 0.187, 0.116)
Ho (0.813, 0.813, 0.884)
Ho (0.992, 0.992, 0.670)
Ge (0.357, 0.357, 0.442)
Ge (0.478, 0.478, 0.116)
Ge (0.522, 0.522, 0.884)
Ge (0.643, 0.643, 0.558)
Rh (0.274, 0.274, 0.657)
Rh (0.726, 0.726, 0.343)

Main lines, by intensity (15 to 90 degrees two-theta):
33.70 deg, intensity 100
32.89 deg, intensity 66
40.45 deg, intensity 62
42.10 deg, intensity 54
36.96 deg, intensity 46
34.23 deg, intensity 36
33.19 deg, intensity 35
39.42 deg, intensity 25
65.99 deg, intensity 23
71.57 deg, intensity 21
55.33 deg, intensity 18
75.82 deg, intensity 18